Computed powder diffractogram
Compound: InGeI2O
Radiation: Cu Kα (λ = 1.5418 Å)
Structure: DFT lattice parameters and positions (PBE)
Intensities are scaled so that the largest is 100.

Structure:
```
data_InGeI2O
_chemical_formula_sum 'In1 Ge1 I2 O1'
_cell_length_a 6.061
_cell_length_b 6.061
_cell_length_c 3.952
_cell_angle_alpha 90.00
_cell_angle_beta 90.00
_cell_angle_gamma 90.00
_symmetry_space_group_name_H-M 'P 4/m m m'
_symmetry_Int_Tables_number 123
_symmetry_space_group_name_Hall '-P 4 2'
loop_
_atom_site_label
_atom_site_type_symbol
_atom_site_fract_x
_atom_site_fract_y
_atom_site_fract_z
In1 In 0.000 0.000 0.000
Ge1 Ge 0.500 0.500 0.500
I1 I 0.000 0.500 0.000
O1 O 0.000 0.000 0.500
```

The 10 most intense peaks (10° ≤ 2θ ≤ 90°), sorted by position:
2θ = 22.50°, rel. 35, hkl 0 0 1
2θ = 26.93°, rel. 36, hkl 1 0 1
2θ = 29.47°, rel. 100, hkl 2 0 0
2θ = 30.78°, rel. 43, hkl 1 1 1
2θ = 37.39°, rel. 38, hkl 2 0 1
2θ = 40.35°, rel. 25, hkl 2 1 1
2θ = 42.17°, rel. 37, hkl 2 2 0
2θ = 48.31°, rel. 18, hkl 2 2 1
2θ = 55.52°, rel. 32, hkl 2 0 2
2θ = 64.11°, rel. 21, hkl 2 2 2

=====

Computed powder diffractogram
Compound: CdHg2S3
Radiation: Cu Kα (λ = 1.5418 Å)
Structure: DFT lattice parameters and positions (PBE)
Intensities are scaled so that the largest is 100.

Structure:
```
data_CdHg2S3
_chemical_formula_sum 'Cd4 Hg8 S12'
_cell_length_a 7.312
_cell_length_b 12.670
_cell_length_c 7.318
_cell_angle_alpha 90.00
_cell_angle_beta 109.53
_cell_angle_gamma 90.00
_symmetry_space_group_name_H-M 'C 1 c 1'
_symmetry_Int_Tables_number 9
loop_
_symmetry_equiv_pos_as_xyz
'x,y,z'
'x,-y,z+1/2'
'x+1/2,y+1/2,z'
'x+1/2,-y+1/2,z+1/2'
loop_
_atom_site_label
_atom_site_type_symbol
_atom_site_fract_x
_atom_site_fract_y
_atom_site_fract_z
Cd1 Cd 0.000 0.083 0.000
Hg1 Hg 0.000 0.417 0.999
Hg2 Hg 0.499 0.251 0.999
S1 S 0.123 0.082 0.372
S2 S 0.123 0.249 0.875
S3 S 0.127 0.416 0.376
```

The 10 most intense peaks (10° ≤ 2θ ≤ 90°), sorted by position:
2θ = 25.84°, rel. 100, hkl 2 0 0
2θ = 29.92°, rel. 32, hkl 1 3 1
2θ = 42.83°, rel. 53, hkl 2 0 2
2θ = 50.69°, rel. 40, hkl 2 6 0
2θ = 53.13°, rel. 9, hkl 4 0 0
2θ = 62.18°, rel. 9, hkl 2 6 2
2θ = 68.48°, rel. 18, hkl 5 3 -1
2θ = 70.52°, rel. 12, hkl 4 6 0
2θ = 78.45°, rel. 15, hkl 1 3 5
2θ = 84.24°, rel. 13, hkl 6 0 -4

=====

Computed powder diffractogram
Compound: Pt2PbSe
Radiation: Cu Kα (λ = 1.5418 Å)
Structure: DFT lattice parameters and positions (PBE)
Intensities are scaled so that the largest is 100.

Structure:
```
data_Pt2PbSe
_chemical_formula_sum 'Pt4 Pb2 Se2'
_cell_length_a 9.805
_cell_length_b 4.496
_cell_length_c 4.152
_cell_angle_alpha 90.00
_cell_angle_beta 95.97
_cell_angle_gamma 90.00
_symmetry_space_group_name_H-M 'C 1 m 1'
_symmetry_Int_Tables_number 8
loop_
_symmetry_equiv_pos_as_xyz
'x,y,z'
'x,-y,z'
'x+1/2,y+1/2,z'
'x+1/2,-y+1/2,z'
loop_
_atom_site_label
_atom_site_type_symbol
_atom_site_fract_x
_atom_site_fract_y
_atom_site_fract_z
Pt1 Pt 0.000 0.000 0.000
Pt2 Pt 0.231 0.500 0.042
Pb1 Pb 0.493 0.000 0.441
Se1 Se 0.230 0.000 0.833
```

The 10 most intense peaks (10° ≤ 2θ ≤ 90°), sorted by position:
2θ = 21.52°, rel. 24, hkl 0 0 1
2θ = 30.10°, rel. 26, hkl 1 1 -1
2θ = 31.48°, rel. 100, hkl 1 1 1
2θ = 36.87°, rel. 49, hkl 4 0 0
2θ = 38.97°, rel. 64, hkl 3 1 -1
2θ = 40.11°, rel. 40, hkl 0 2 0
2θ = 42.22°, rel. 16, hkl 3 1 1
2θ = 43.84°, rel. 16, hkl 0 0 2
2θ = 55.61°, rel. 30, hkl 4 2 0
2θ = 58.11°, rel. 15, hkl 5 1 1

=====

Computed powder diffractogram
Compound: Tb3Pr4Dy
Radiation: Cu Kα (λ = 1.5418 Å)
Structure: DFT lattice parameters and positions (PBE)
Intensities are scaled so that the largest is 100.

Structure:
```
data_Tb3Pr4Dy
_chemical_formula_sum 'Tb6 Pr8 Dy2'
_cell_length_a 11.737
_cell_length_b 7.366
_cell_length_c 6.345
_cell_angle_alpha 90.00
_cell_angle_beta 90.00
_cell_angle_gamma 90.00
_symmetry_space_group_name_H-M 'P m n 21'
_symmetry_Int_Tables_number 31
loop_
_symmetry_equiv_pos_as_xyz
'x,y,z'
'-x+1/2,-y,z+1/2'
'-x,y,z'
'x+1/2,-y,z+1/2'
loop_
_atom_site_label
_atom_site_type_symbol
_atom_site_fract_x
_atom_site_fract_y
_atom_site_fract_z
Tb1 Tb 0.000 0.121 0.000
Tb2 Tb 0.250 0.121 0.332
Pr1 Pr 0.000 0.372 0.498
Pr2 Pr 0.000 0.628 0.997
Pr3 Pr 0.250 0.371 0.835
Dy1 Dy 0.000 0.879 0.500
```

The 10 most intense peaks (10° ≤ 2θ ≤ 90°), sorted by position:
2θ = 28.01°, rel. 23, hkl 0 2 1
2θ = 28.13°, rel. 12, hkl 0 0 2
2θ = 30.46°, rel. 38, hkl 4 0 0
2θ = 31.97°, rel. 100, hkl 2 2 1
2θ = 32.07°, rel. 49, hkl 2 0 2
2θ = 41.89°, rel. 24, hkl 4 0 2
2θ = 49.71°, rel. 19, hkl 0 2 3
2θ = 55.12°, rel. 32, hkl 6 2 1
2θ = 59.43°, rel. 23, hkl 4 2 3
2θ = 60.21°, rel. 16, hkl 2 4 2